Entry 1:
# Er2Lu3Mg3
Calculated powder diffractogram, a wavelength of 1.5418 Å. Input: DFT lattice parameters and positions (GGA-PBE).

Main lines, by angle (2θ = 10–90°):
index	2theta	d/Å	I/Imax
0 0 1	16.1	5.507	29.3
2 0 0	30.3	2.953	36.6
0 0 2	32.5	2.754	24.1
2 0 1	34.5	2.602	100.0
2 0 2	45.0	2.014	24.9
2 2 0	53.8	1.705	17.5
2 0 3	59.3	1.559	21.1
2 2 2	64.3	1.449	20.5
4 0 1	65.5	1.426	15.6
4 2 1	89.6	1.094	13.9

Cell and atoms:
```
data_Er2Lu3Mg3
_chemical_formula_sum 'Er2 Lu3 Mg3'
_symmetry_space_group_name_H-M 'P -6 m 2'
_symmetry_Int_Tables_number 187
_symmetry_space_group_name_Hall 'P -6 2'
_cell_length_a 6.8186
_cell_length_b 6.8186
_cell_length_c 5.5072
_cell_angle_alpha 90.00
_cell_angle_beta 90.00
_cell_angle_gamma 120.00
loop_
_atom_site_label
_atom_site_type_symbol
_atom_site_fract_x
_atom_site_fract_y
_atom_site_fract_z
Er1 Er 0.0000 0.0000 0.0000
Er2 Er 0.3333 0.6667 0.5000
Lu1 Lu 0.0029 0.5015 0.0000
Mg1 Mg 0.3413 0.1707 0.5000
```

---

Entry 2:
# ErLuPbN
Calculated powder diffractogram, a wavelength of 1.5418 Å. Input: DFT lattice parameters and positions (GGA-PBE).

Main lines, by angle (2θ = 10–90°):
index	2theta	d/Å	I/Imax
1 0 0	29.5	3.023	22.3
1 0 3	34.5	2.600	100.0
0 0 6	35.2	2.548	20.0
1 0 6	46.6	1.948	15.8
1 1 0	52.4	1.745	21.5
1 0 9	62.8	1.481	18.1
2 0 3	64.3	1.449	16.9
1 1 6	64.7	1.440	21.2
2 0 9	86.1	1.129	7.9
2 1 3	87.5	1.115	15.3

Cell and atoms:
```
data_ErLuPbN
_chemical_formula_sum 'Er2 Lu2 Pb2 N2'
_symmetry_space_group_name_H-M 'P -6 m 2'
_symmetry_Int_Tables_number 187
_symmetry_space_group_name_Hall 'P -6 2'
_cell_length_a 3.4908
_cell_length_b 3.4908
_cell_length_c 15.2850
_cell_angle_alpha 90.00
_cell_angle_beta 90.00
_cell_angle_gamma 120.00
loop_
_atom_site_label
_atom_site_type_symbol
_atom_site_fract_x
_atom_site_fract_y
_atom_site_fract_z
Er1 Er 0.0000 0.0000 0.1673
Lu1 Lu 0.3333 0.6667 0.3333
Pb1 Pb 0.0000 0.0000 0.5000
Pb2 Pb 0.3333 0.6667 0.0000
N1 N 0.6667 0.3333 0.2541
```